Starting from the PBE geometry in the Materials Project, the X-ray powder pattern of LiNdP4N8 was simulated for CuKα.
Neutral-atom scattering factors, no anomalous dispersion.

Structural model:
Lattice parameters (Å, degrees): 8.7857 7.9319 9.1653 90.00 90.00 90.00
Element x y z (fractional)
Li1 0.0546 0.2500 0.0667
Li2 0.4454 0.7500 0.5667
Li3 0.5546 0.2500 0.4333
Li4 0.9454 0.7500 0.9333
Nd1 0.0876 0.7500 0.5854
Nd2 0.4124 0.2500 0.0854
Nd3 0.5876 0.7500 0.9146
Nd4 0.9124 0.2500 0.4146
P1 0.0694 0.5632 0.1914
P2 0.0694 0.9368 0.1914
P3 0.2292 0.5594 0.9178
P4 0.2292 0.9406 0.9178
P5 0.2708 0.0594 0.4178
P6 0.2708 0.4406 0.4178
P7 0.4306 0.0632 0.6914
P8 0.4306 0.4368 0.6914
P9 0.5694 0.5632 0.3086
P10 0.5694 0.9368 0.3086
P11 0.7292 0.5594 0.5822
P12 0.7292 0.9406 0.5822
P13 0.7708 0.0594 0.0822
P14 0.7708 0.4406 0.0822
P15 0.9306 0.0632 0.8086
P16 0.9306 0.4368 0.8086
N1 0.0210 0.7500 0.1396
N2 0.0771 0.5662 0.8155
N3 0.0771 0.9338 0.8155
N4 0.1294 0.5581 0.3603
N5 0.1294 0.9419 0.3603
N6 0.1965 0.0242 0.0789
N7 0.1965 0.4758 0.0789
N8 0.1976 0.2500 0.4182
N9 0.3024 0.7500 0.9182
N10 0.3035 0.5242 0.5789
N11 0.3035 0.9758 0.5789
N12 0.3706 0.0581 0.8603
N13 0.3706 0.4419 0.8603
N14 0.4229 0.0662 0.3155
N15 0.4229 0.4338 0.3155
N16 0.4790 0.2500 0.6396
N17 0.5210 0.7500 0.3604
N18 0.5771 0.5662 0.6845
N19 0.5771 0.9338 0.6845
N20 0.6294 0.5581 0.1397
N21 0.6294 0.9419 0.1397
N22 0.6965 0.0242 0.4211
N23 0.6965 0.4758 0.4211
N24 0.6976 0.2500 0.0818
N25 0.8024 0.7500 0.5818
N26 0.8035 0.5242 0.9211
N27 0.8035 0.9758 0.9211
N28 0.8706 0.0581 0.6397
N29 0.8706 0.4419 0.6397
N30 0.9229 0.0662 0.1845
N31 0.9229 0.4338 0.1845
N32 0.9790 0.2500 0.8604

Top 6 peaks for 2θ = 10–80°, by angle:
- 2θ = 14.77°, I 44, hkl 0 1 1
- 2θ = 23.15°, I 100, hkl 2 1 0
- 2θ = 24.62°, I 92, hkl 1 1 2
- 2θ = 26.51°, I 79, hkl 1 2 1
- 2θ = 31.38°, I 59, hkl 0 1 3
- 2θ = 34.07°, I 53, hkl 3 1 1